1.
Structure and calculated X-ray diffraction stick pattern of IrF3 (a crystal structure in OQMD, relaxed with PBE; Cu Kα X-rays).
Lines closer than 0.1° are merged.

Peak list (10 most intense, 5° ≤ 2θ ≤ 70°, sorted by position)
2θ (°)  Rel. int.  (hkl)
15.5  100  1 1 1
29.8  56  3 1 1
31.2  64  2 2 2
36.2  16  4 0 0
39.6  20  3 3 1
47.6  18  3 3 3
52.1  35  4 4 0
54.7  22  5 3 1
62.0  28  6 2 2
67.4  12  5 5 1

Atomic structure:
a = 9.929 Å, b = 9.929 Å, c = 9.929 Å
α = 90.00°, β = 90.00°, γ = 90.00°
Space group Fd-3m (No. 227, origin choice 2)
Unique sites:
1 Ir 0.000 0.000 0.000 (multiplicity 16)
2 F 0.097 0.375 0.375 (multiplicity 48)

---

2.
Structure and calculated X-ray diffraction stick pattern of RbPdSe2 (a crystal structure in OQMD, relaxed with PBE; Cu Kα X-rays).
Lines closer than 0.1° are merged.

Peak list (10 most intense, 5° ≤ 2θ ≤ 70°, sorted by position)
2θ (°)  Rel. int.  (hkl)
15.0  44  0 2 2
16.0  24  0 0 4
24.8  19  1 3 1
27.3  100  1 3 3
30.4  21  0 4 4
31.8  46  1 3 5
37.1  21  2 2 4
39.2  51  2 0 6
46.3  29  0 6 6
50.2  31  2 6 0

Atomic structure:
a = 5.854 Å, b = 13.892 Å, c = 22.200 Å
α = 90.00°, β = 90.00°, γ = 90.00°
Space group Fddd (No. 70, origin choice 2)
Unique sites:
1 Rb 0.125 0.125 0.315 (multiplicity 16)
2 Pd 0.125 0.125 0.125 (multiplicity 8)
3 Pd 0.125 0.125 0.625 (multiplicity 8)
4 Se 0.113 0.278 0.807 (multiplicity 32)

---

3.
Structure and calculated X-ray diffraction stick pattern of Hf3TaNi2 (a crystal structure in OQMD, relaxed with PBE; Cu Kα X-rays).
Lines closer than 0.1° are merged.

Peak list (10 most intense, 5° ≤ 2θ ≤ 70°, sorted by position)
2θ (°)  Rel. int.  (hkl)
35.2  31  2 0 0
36.1  100  1 3 1
36.3  99  1 1 3
40.6  27  2 2 0
45.0  23  0 4 2
45.2  23  0 2 4
45.6  35  2 2 2
63.7  19  3 3 1
63.8  19  3 1 3
69.7  16  2 4 4

Atomic structure:
a = 5.106 Å, b = 9.030 Å, c = 8.949 Å
α = 90.00°, β = 90.00°, γ = 90.00°
Space group Fmm2 (No. 42)
Unique sites:
1 Hf 0.000 0.000 0.000 (multiplicity 4)
2 Hf 0.000 0.161 0.661 (multiplicity 8)
3 Ta 0.000 0.000 0.322 (multiplicity 4)
4 Ni 0.250 0.250 0.410 (multiplicity 8)

---

4.
Structure and calculated X-ray diffraction stick pattern of Zn2Ga2Pb3 (a crystal structure in OQMD, relaxed with PBE; Cu Kα X-rays).
Lines closer than 0.1° are merged.

Peak list (10 most intense, 5° ≤ 2θ ≤ 70°, sorted by position)
2θ (°)  Rel. int.  (hkl)
10.8  17  0 0 3
20.5  19  1 0 1
24.9  31  1 0 4
27.2  16  0 1 5
35.3  100  1 1 0
35.7  93  0 1 8
51.0  34  2 0 8
63.3  18  3 0 0
63.6  35  1 2 8
64.4  16  1 0 16

Atomic structure:
a = 5.0907 Å, b = 5.0907 Å, c = 24.5128 Å
α = 90.00°, β = 90.00°, γ = 120.00°
Space group R3m (No. 160, hexagonal axes)
Unique sites:
1 Zn 0.0000 0.0000 0.0000 (multiplicity 3)
2 Zn 0.0000 0.0000 0.4877 (multiplicity 3)
3 Ga 0.0000 0.0000 0.2326 (multiplicity 3)
4 Ga 0.0000 0.0000 0.7457 (multiplicity 3)
5 Pb 0.0000 0.0000 0.3687 (multiplicity 3)
6 Pb 0.0000 0.0000 0.6177 (multiplicity 3)
7 Pb 0.0000 0.0000 0.8655 (multiplicity 3)

---

5.
Structure and calculated X-ray diffraction stick pattern of TaH4 (a crystal structure in OQMD, relaxed with PBE; Cu Kα X-rays).
Lines closer than 0.1° are merged.

Peak list (9 most intense, 5° ≤ 2θ ≤ 70°, sorted by position)
2θ (°)  Rel. int.  (hkl)
29.6  24  1 0 0
33.9  23  0 0 2
34.2  100  1 0 1
45.6  15  1 0 2
52.6  20  1 1 0
60.9  20  1 0 3
61.5  3  2 0 0
64.0  23  1 1 2
64.2  17  2 0 1

Atomic structure:
a = 3.4820 Å, b = 3.4820 Å, c = 5.2866 Å
α = 90.00°, β = 90.00°, γ = 120.00°
Space group P-6m2 (No. 187)
Unique sites:
1 Ta 0.0000 0.0000 0.0000 (multiplicity 1)
2 Ta 0.3333 0.6667 0.5000 (multiplicity 1)
3 H 0.3333 0.6667 0.0000 (multiplicity 1)
4 H 0.3421 0.1710 0.3154 (multiplicity 6)
5 H 0.6667 0.3333 0.0000 (multiplicity 1)

---

6.
Structure and calculated X-ray diffraction stick pattern of Na3ZrF6 (a crystal structure in OQMD, relaxed with PBE; Cu Kα X-rays).
Lines closer than 0.1° are merged.

Peak list (10 most intense, 5° ≤ 2θ ≤ 70°, sorted by position)
2θ (°)  Rel. int.  (hkl)
19.4  100  0 1 1
20.1  30  1 0 1
22.7  99  1 1 0
31.8  32  0 2 0
32.0  66  1 1 -2
32.7  63  1 1 2
37.6  33  1 2 -1
38.2  40  2 1 -1
46.4  61  0 0 4
51.8  32  2 2 -2

Atomic structure:
a = 5.454 Å, b = 5.633 Å, c = 7.835 Å
α = 90.00°, β = 91.60°, γ = 90.00°
Space group P2_1 (No. 4)
Unique sites:
1 Na 0.227 0.000 0.009 (multiplicity 2)
2 Na 0.250 0.416 0.250 (multiplicity 2)
3 Na 0.272 0.832 0.491 (multiplicity 2)
4 Zr 0.251 0.416 0.750 (multiplicity 2)
5 F 0.067 0.712 0.852 (multiplicity 2)
6 F 0.082 0.751 0.202 (multiplicity 2)
7 F 0.102 0.458 0.501 (multiplicity 2)
8 F 0.399 0.374 0.999 (multiplicity 2)
9 F 0.415 0.080 0.297 (multiplicity 2)
10 F 0.434 0.120 0.647 (multiplicity 2)